Diffraction record for Sr2Cd6In. The X-ray diffraction stick pattern is calculated, not measured: it uses a DFT-relaxed cell (GGA-PBE, Alexandria) and Cu Kα, 1.54184 Å.
Lines closer than 0.1° are merged.

Principal peaks in the range 15 to 90 degrees two-theta, in order of rising 2θ:
| 2θ/deg | I/Imax | h k l |
| --- | --- | --- |
| 30.58 | 37 | 1 1 1 |
| 31.04 | 43 | 0 1 2 |
| 31.82 | 14 | 2 0 0 |
| 34.58 | 100 | 2 0 1 |
| 41.92 | 29 | 0 2 2 |
| 50.54 | 11 | 0 3 1 |
| 50.85 | 11 | 1 2 2 |
| 56.69 | 23 | 2 2 0 |
| 60.05 | 16 | 1 2 3 |
| 64.72 | 11 | 2 0 4 |
| 68.13 | 12 | 0 4 1 |
| 79.09 | 11 | 0 2 5 |

Unit cell a=6.495 b=6.495 c=6.708 alpha=90.00 beta=90.00 gamma=120.00
Sites, in units of the cell vectors:
Sr1 0.333 0.667 0.143
Sr2 0.667 0.333 0.857
Cd1 0.178 0.355 0.662
Cd2 0.178 0.822 0.662
Cd3 0.355 0.178 0.338
Cd4 0.645 0.822 0.662
Cd5 0.822 0.178 0.338
Cd6 0.822 0.645 0.338
In1 0.000 0.000 0.000